Record 1
For La3ReCl3O6, a crystal structure in the Materials Project, relaxed with GGA-PBE gives the theoretical powder diffractogram in this record (copper Kα).
No peak broadening, texture or thermal motion is included.

```
data_La3ReCl3O6
_cell_length_a 9.4795
_cell_length_b 9.4795
_cell_length_c 5.4604
_cell_angle_alpha 90.00
_cell_angle_beta 90.00
_cell_angle_gamma 120.00
_symmetry_space_group_name_H-M 'P 63/m'
_symmetry_Int_Tables_number 176
_symmetry_space_group_name_Hall '-P 6c'
loop_
_atom_site_label
_atom_site_type_symbol
_atom_site_fract_x
_atom_site_fract_y
_atom_site_fract_z
La1 La 0.0914 0.4050 0.2500
Re1 Re 0.3333 0.6667 0.7500
Cl1 Cl 0.0478 0.2405 0.7500
O1 O 0.1626 0.6363 0.5214
```

The 6 most intense peaks (2θ = 5–70°), in order of falling intensity:
Position (°2θ)	I (rel.)	(hkl)
33.21	100	2 1 1
27.18	59	2 0 1
10.78	56	1 0 0
24.88	50	1 1 1
32.77	47	0 0 2
44.18	44	2 1 2

***

Record 2
For La4S4Cl2O, a crystal structure in the Materials Project, relaxed with GGA-PBE gives the theoretical powder diffractogram in this record (copper Kα).
No peak broadening, texture or thermal motion is included.

```
data_La4S4Cl2O
_cell_length_a 9.3279
_cell_length_b 16.3534
_cell_length_c 7.0897
_cell_angle_alpha 90.00
_cell_angle_beta 90.00
_cell_angle_gamma 90.00
_symmetry_space_group_name_H-M 'C m c 21'
_symmetry_Int_Tables_number 36
_symmetry_space_group_name_Hall 'C 2c -2'
loop_
_atom_site_label
_atom_site_type_symbol
_atom_site_fract_x
_atom_site_fract_y
_atom_site_fract_z
La1 La 0.0000 0.1750 0.0000
La2 La 0.0000 0.3046 0.5517
La3 La 0.2099 0.1014 0.5282
S1 S 0.0000 0.0360 0.2576
S2 S 0.0000 0.3645 0.9265
S3 S 0.2046 0.2373 0.2607
Cl1 Cl 0.1994 0.4332 0.4274
O1 O 0.0000 0.1675 0.6520
```

The 6 most intense peaks (2θ = 5–70°), in order of falling intensity:
Position (°2θ)	I (rel.)	(hkl)
25.32	100	2 2 1
25.13	92	0 0 2
33.59	47	2 2 2
38.25	36	2 6 0
44.38	34	2 2 3
10.87	30	0 2 0

***

Record 3
For La3Si2ClO8, a crystal structure in the Materials Project, relaxed with GGA-PBE gives the theoretical powder diffractogram in this record (copper Kα).
No peak broadening, texture or thermal motion is included.

```
data_La3Si2ClO8
_cell_length_a 14.6561
_cell_length_b 6.5661
_cell_length_c 8.9067
_cell_angle_alpha 90.00
_cell_angle_beta 98.15
_cell_angle_gamma 90.00
_symmetry_space_group_name_H-M 'C 1 2/c 1'
_symmetry_Int_Tables_number 15
_symmetry_space_group_name_Hall '-C 2yc'
loop_
_atom_site_label
_atom_site_type_symbol
_atom_site_fract_x
_atom_site_fract_y
_atom_site_fract_z
La1 La 0.0000 0.0690 0.2500
La2 La 0.1844 0.3960 0.6707
Si1 Si 0.1582 0.0563 0.0264
Cl1 Cl 0.0000 0.4754 0.7500
O1 O 0.0788 0.1216 0.5326
O2 O 0.1443 0.2372 0.1468
O3 O 0.1540 0.1180 0.8476
O4 O 0.2408 0.4443 0.4190
```

The 6 most intense peaks (2θ = 5–70°), in order of falling intensity:
Position (°2θ)	I (rel.)	(hkl)
29.02	100	0 2 1
22.84	87	3 1 0
29.59	76	4 0 -2
20.14	70	0 0 2
46.09	68	4 2 -3
42.88	63	1 1 -4

***

Record 4
For La3Si2ClO8, a crystal structure in the Materials Project, relaxed with GGA-PBE gives the theoretical powder diffractogram in this record (copper Kα).
No peak broadening, texture or thermal motion is included.

```
data_La3Si2ClO8
_cell_length_a 14.6601
_cell_length_b 6.5751
_cell_length_c 8.9113
_cell_angle_alpha 90.00
_cell_angle_beta 98.14
_cell_angle_gamma 90.00
_symmetry_space_group_name_H-M 'C 1 c 1'
_symmetry_Int_Tables_number 9
_symmetry_space_group_name_Hall 'C -2yc'
loop_
_atom_site_label
_atom_site_type_symbol
_atom_site_fract_x
_atom_site_fract_y
_atom_site_fract_z
La1 La 0.0000 0.0687 0.0000
La2 La 0.1849 0.3962 0.4213
La3 La 0.3158 0.1036 0.0798
Si1 Si 0.1586 0.0566 0.7770
Si2 Si 0.3418 0.4435 0.7238
Cl1 Cl 0.4950 0.0252 0.9795
O1 O 0.0790 0.1211 0.2827
O2 O 0.1449 0.2371 0.8978
O3 O 0.1542 0.1190 0.5980
O4 O 0.2408 0.4443 0.1693
O5 O 0.2595 0.0560 0.3315
O6 O 0.3458 0.3826 0.9029
O7 O 0.3559 0.2627 0.6034
O8 O 0.4216 0.3789 0.2174
```

The 6 most intense peaks (2θ = 5–70°), in order of falling intensity:
Position (°2θ)	I (rel.)	(hkl)
28.98	100	0 2 1
22.82	87	3 1 0
29.58	76	4 0 -2
20.13	70	0 0 2
37.19	68	6 0 0
46.05	68	4 2 -3

***

Record 5
For La2TaCl3O4, a crystal structure in the Materials Project, relaxed with GGA-PBE gives the theoretical powder diffractogram in this record (copper Kα).
No peak broadening, texture or thermal motion is included.

```
data_La2TaCl3O4
_cell_length_a 3.9726
_cell_length_b 15.7608
_cell_length_c 18.2709
_cell_angle_alpha 90.00
_cell_angle_beta 90.00
_cell_angle_gamma 90.00
_symmetry_space_group_name_H-M 'P m m n'
_symmetry_Int_Tables_number 59
loop_
_symmetry_equiv_pos_as_xyz
'x,y,z'
'-x,-y,-z'
'-x+1/2,-y+1/2,z'
'x+1/2,y+1/2,-z'
'x+1/2,-y,-z'
'-x+1/2,y,z'
'-x,y+1/2,-z'
'x,-y+1/2,z'
loop_
_atom_site_label
_atom_site_type_symbol
_atom_site_fract_x
_atom_site_fract_y
_atom_site_fract_z
La1 La 0.2500 0.0753 0.1145
La2 La 0.2500 0.2500 0.3661
La3 La 0.2500 0.2500 0.8450
La4 La 0.2500 0.5999 0.4008
Ta1 Ta 0.2500 0.5569 0.7030
Ta2 Ta 0.2500 0.7500 0.9832
Cl1 Cl 0.2500 0.0624 0.9379
Cl2 Cl 0.2500 0.0826 0.4734
Cl3 Cl 0.2500 0.2500 0.2006
Cl4 Cl 0.2500 0.2500 0.6442
Cl5 Cl 0.2500 0.6362 0.2274
Cl6 Cl 0.2500 0.7500 0.5026
O1 O 0.2500 0.0450 0.6411
O2 O 0.2500 0.0491 0.3017
O3 O 0.2500 0.2500 0.0103
O4 O 0.2500 0.5575 0.8057
O5 O 0.2500 0.6474 0.9301
O6 O 0.2500 0.6651 0.6603
O7 O 0.2500 0.7500 0.0893
```

The 6 most intense peaks (2θ = 5–70°), in order of falling intensity:
Position (°2θ)	I (rel.)	(hkl)
29.83	100	1 3 2
34.03	75	0 3 6
26.93	73	0 2 5
28.59	65	1 3 1
19.48	63	0 3 2
58.19	52	2 6 0